Si4H2O9: computed powder XRD pattern (a wavelength of 1.5418 Å), based on the GGA-PBE geometry in the Materials Project.
Kinematic intensities with the Lorentz-polarization factor, no thermal factor.

Structural model:
```
Si4H2O9
1.0
7.6467 0.0000 0.0000
0.0057 7.6491 0.0000
3.8118 3.8084 14.5003
Si H O
16 8 36
Cartesian
0.0000 0.0000 0.0000
3.8130 6.9099 14.4852
1.5595 3.8033 5.0969
1.5658 6.9347 5.1043
2.2712 9.1989 7.2416
5.3645 5.3652 10.2081
6.0664 7.6282 12.3494
6.0773 10.7582 12.3513
3.8102 7.6416 2.9574
3.8238 3.0956 2.9524
5.3695 9.1932 7.2410
6.0712 3.8126 5.1069
6.0811 6.9444 5.0912
9.1972 7.6187 12.3502
9.2131 10.7507 12.3432
9.9114 5.3704 10.2059
0.5792 6.0783 1.5207
3.2209 4.6505 1.4489
4.4264 6.4358 1.1342
6.8524 9.8566 8.7940
6.8475 6.0338 8.6528
8.4327 8.5310 8.7935
8.4303 4.7048 8.6511
6.8780 4.4432 1.6026
1.9617 2.8960 6.3815
1.9735 7.8528 6.3792
1.8114 5.3684 5.4795
3.8149 5.3663 9.7524
2.4762 7.3470 3.8286
2.4791 3.3940 3.8233
5.1577 11.1662 13.6233
5.1599 7.2217 13.6330
3.8204 9.1950 7.6990
5.8219 9.1941 11.9703
5.6583 6.7100 11.0749
5.6725 4.0195 11.0696
3.8336 1.5400 2.5010
3.6348 6.6832 1.6344
3.9032 3.9731 1.5807
6.2802 5.2761 8.8540
5.6642 2.8941 6.3833
5.6727 7.8507 6.3748
6.2830 9.0990 8.5978
5.1667 3.4050 3.8233
5.1662 7.3548 3.8118
7.6313 7.3775 12.7265
7.6407 3.3474 12.7363
5.8267 5.3808 5.4794
9.4556 9.1834 11.9697
7.6373 3.5610 4.7245
7.6489 7.1882 4.7221
10.1128 11.1534 13.6336
10.1122 7.1995 13.6217
8.9967 5.4634 8.8515
9.6061 6.7138 11.0681
9.6097 4.0227 11.0694
9.0031 9.2877 8.5978
7.5627 6.7704 1.3686
7.7188 4.0495 1.3219
7.6410 1.5560 0.4443
```

The 10 most intense peaks (2θ = 10–90°), in order of rising 2θ:
| Position (°2θ) | I (rel.) |
| --- | --- |
| 12.2 | 60 |
| 17.5 | 21 |
| 19.2 | 93 |
| 23.3 | 43 |
| 24.1 | 100 |
| 24.4 | 72 |
| 26.4 | 97 |
| 30.3 | 30 |
| 43.3 | 24 |
| 45.4 | 31 |

---

SiH2O: computed powder XRD pattern (a wavelength of 1.5418 Å), based on the GGA-PBE geometry in the Materials Project.
Kinematic intensities with the Lorentz-polarization factor, no thermal factor.

Structural model:
```
SiH2O
1.0
6.4190 0.0000 0.0000
0.0000 4.8319 0.0000
-2.9987 0.0000 6.7203
Si H O
2 4 2
Cartesian
0.0000 0.0000 0.0000
3.2095 2.4160 0.0000
0.4839 0.0000 1.4131
-1.2690 2.4160 6.6669
3.6934 2.4160 1.4131
1.9405 0.0000 6.6669
-1.9625 0.0000 5.5721
1.2470 2.4160 5.5721
```

The 10 most intense peaks (2θ = 10–90°), in order of rising 2θ:
| Position (°2θ) | I (rel.) |
| --- | --- |
| 13.2 | 100 |
| 23.9 | 54 |
| 24.1 | 29 |
| 30.3 | 25 |
| 30.5 | 10 |
| 37.2 | 8 |
| 38.2 | 6 |
| 39.6 | 10 |
| 40.5 | 6 |
| 48.9 | 7 |

---

Sr3TiSi4H2O13: computed powder XRD pattern (a wavelength of 1.5418 Å), based on the GGA-PBE geometry in the Materials Project.
Kinematic intensities with the Lorentz-polarization factor, no thermal factor.

Structural model:
```
Sr3TiSi4H2O13
1.0
7.7791 0.0000 0.0000
0.0000 7.7290 0.0000
-2.5039 0.0000 10.8756
Sr Ti Si H O
6 2 8 4 26
Cartesian
0.2735 1.9323 2.5430
0.2371 5.7968 4.2309
-0.5558 1.9323 9.9280
5.8310 5.7968 0.9476
5.0381 1.9323 6.6446
5.0017 5.7968 8.3325
2.6376 0.0000 5.4378
2.6376 3.8645 5.4378
0.1254 4.1959 7.6318
0.1254 7.3976 7.6318
2.4132 4.2133 2.1319
2.4132 7.3802 2.1319
2.8620 0.3488 8.7436
2.8620 3.5157 8.7436
5.1498 0.3314 3.2437
5.1498 3.5331 3.2437
-1.7854 5.7968 10.8734
-0.3650 1.9323 5.2281
5.6402 5.7968 5.6474
7.0606 1.9323 0.0021
-1.3063 0.3462 7.9476
-1.3063 3.5183 7.9476
-0.0855 5.7968 8.0225
1.7083 0.4781 0.9693
1.7083 3.3864 0.9693
0.7229 4.0572 6.1259
0.7229 7.5363 6.1259
1.9410 5.7968 2.0504
1.8818 0.2025 3.5913
1.8818 3.6621 3.5913
1.1930 0.3220 8.7551
1.1930 3.5426 8.7551
2.6472 5.7968 5.1776
2.6280 1.9323 5.6980
4.0822 4.1865 2.1205
4.0822 7.4071 2.1205
3.3934 4.0670 7.2843
3.3934 7.5266 7.2843
3.3342 1.9323 8.8251
4.5523 0.1927 4.7497
4.5523 3.6718 4.7497
3.5669 4.3426 9.9062
3.5669 7.2509 9.9062
5.3607 1.9323 2.8531
6.5815 4.2107 2.9280
6.5815 7.3828 2.9280
```

The 10 most intense peaks (2θ = 10–90°), in order of rising 2θ:
| Position (°2θ) | I (rel.) |
| --- | --- |
| 16.3 | 39 |
| 19.5 | 100 |
| 25.9 | 69 |
| 27.2 | 66 |
| 28.0 | 42 |
| 29.3 | 52 |
| 32.2 | 46 |
| 43.1 | 41 |
| 44.4 | 36 |
| 47.1 | 49 |

---

U2SiH4O10: computed powder XRD pattern (a wavelength of 1.5418 Å), based on the GGA-PBE geometry in the Materials Project.
Kinematic intensities with the Lorentz-polarization factor, no thermal factor.

Structural model:
```
U2SiH4O10
1.0
0.0000 5.7507 9.4731
4.0572 0.0000 9.4731
4.0572 5.7507 0.0000
U Si H O
4 2 8 20
Cartesian
3.0429 4.3130 0.8267
5.0715 7.1884 5.5632
3.0429 4.3130 13.3830
5.0715 7.1884 18.1196
1.0143 1.4377 2.3683
7.1001 10.0638 16.5780
3.7753 3.9469 3.7620
2.3105 4.6792 3.7620
5.8040 7.5545 8.4986
3.7753 4.6792 10.4476
4.3391 6.8223 8.4986
2.3105 3.9469 10.4476
5.8040 6.8223 15.1842
4.3391 7.5545 15.1842
6.2700 5.2424 6.0229
1.8445 2.3671 1.2863
4.2414 6.2590 1.2863
3.0429 4.3130 3.2117
2.5696 2.3913 5.5790
3.5162 2.3913 8.6307
5.5448 5.2666 10.3155
4.2414 2.3671 12.9233
3.5162 6.2348 5.5790
5.0715 7.1884 7.9483
3.0429 4.3130 10.9979
4.5982 5.2666 13.3673
3.8731 9.1344 6.0229
2.5696 6.2348 8.6307
4.5982 9.1102 10.3155
5.5448 9.1102 13.3673
5.0715 7.1884 15.7345
3.8731 5.2424 17.6599
6.2700 9.1344 17.6599
1.8445 6.2590 12.9233
```

The 10 most intense peaks (2θ = 10–90°), in order of rising 2θ:
| Position (°2θ) | I (rel.) |
| --- | --- |
| 14.2 | 95 |
| 18.0 | 38 |
| 19.4 | 100 |
| 26.1 | 25 |
| 26.9 | 72 |
| 29.4 | 28 |
| 32.3 | 45 |
| 43.4 | 31 |
| 48.3 | 31 |
| 56.2 | 27 |

---

Zn4Si2H2O9: computed powder XRD pattern (a wavelength of 1.5418 Å), based on the GGA-PBE geometry in the Materials Project.
Kinematic intensities with the Lorentz-polarization factor, no thermal factor.

Structural model:
```
Zn4Si2H2O9
1.0
4.8677 -5.5051 0.0000
4.8677 5.5051 0.0000
-2.7580 0.0000 4.4085
Zn Si H O
4 2 2 9
Cartesian
4.8677 3.7814 0.0000
4.0371 1.7710 2.5953
4.0371 -1.7710 2.5953
4.8677 -3.7814 0.0000
6.9062 1.5766 1.2484
6.9062 -1.5766 1.2484
1.6244 0.0000 0.8595
3.9090 0.0000 0.9180
0.8561 0.0000 0.2490
3.5254 3.2492 1.3805
3.3214 2.2101 4.3814
3.4972 0.0000 1.8065
6.0504 1.7634 2.6317
3.5254 -3.2492 1.3805
7.1382 0.0000 0.8487
3.3214 -2.2101 4.3814
6.0504 -1.7634 2.6317
```

The 10 most intense peaks (2θ = 10–90°), in order of rising 2θ:
| Position (°2θ) | I (rel.) |
| --- | --- |
| 13.4 | 100 |
| 16.1 | 60 |
| 18.9 | 64 |
| 21.5 | 51 |
| 26.6 | 57 |
| 28.7 | 48 |
| 28.8 | 53 |
| 29.8 | 43 |
| 34.5 | 54 |
| 37.1 | 95 |

---

Zn2SiHO5: computed powder XRD pattern (a wavelength of 1.5418 Å), based on the GGA-PBE geometry in the Materials Project.
Kinematic intensities with the Lorentz-polarization factor, no thermal factor.

Structural model:
```
Zn2SiHO5
1.0
-4.2297 5.4554 2.5829
4.2297 -5.4554 2.5829
4.2297 5.4554 -2.5829
Zn Si H O
4 2 2 10
Cartesian
1.7482 1.7517 0.0000
6.7112 1.7517 0.0000
-2.4815 3.7037 2.5829
2.4815 3.7037 2.5829
4.2297 3.8713 0.0333
0.0000 1.5841 2.6161
3.2586 0.0000 0.9881
5.2008 0.0000 0.9881
4.2297 3.6423 -1.5890
2.5495 0.0000 0.2998
5.9099 0.0000 0.2998
0.0000 1.8131 0.9939
2.8739 3.2228 0.7044
5.5855 3.2228 0.7044
4.2297 0.0000 2.4974
0.0000 0.0000 3.0512
-1.3558 2.2327 3.2872
1.3558 2.2327 3.2872
```

The 10 most intense peaks (2θ = 10–90°), in order of rising 2θ:
| Position (°2θ) | I (rel.) |
| --- | --- |
| 13.2 | 61 |
| 16.2 | 43 |
| 19.0 | 36 |
| 21.0 | 34 |
| 26.7 | 72 |
| 28.5 | 100 |
| 30.0 | 42 |
| 34.7 | 46 |
| 37.0 | 55 |
| 50.2 | 24 |

---

> Which formula does entry 4 have?

U2SiH4O10